Starting from a cell relaxed with PBE+U, the powder diffraction line list of Li3CrPCO7 was computed for Cu Kα, 1.54184 Å.

The 10 most intense peaks (5° ≤ 2θ ≤ 70°), low angle first:
2theta, d [Å], I/Imax
10.4, 8.521, 36
16.3, 5.433, 55
18.9, 4.685, 43
19.8, 4.482, 42
24.2, 3.682, 42
25.0, 3.561, 31
25.5, 3.489, 58
34.8, 2.580, 100
35.0, 2.567, 40
36.1, 2.487, 28

Structural model:
```
Li3CrPCO7
1.0
8.5550 0.0000 0.0000
0.0000 6.4849 0.0000
-0.8858 0.0000 9.9494
Li Cr P C O
12 4 4 4 28
Direct
0.1069 0.2463 0.1150
0.1069 0.2537 0.6150
0.2925 0.0195 0.8836
0.2925 0.4805 0.3836
0.3543 0.7418 0.6111
0.3543 0.7582 0.1111
0.6457 0.2418 0.8889
0.6457 0.2582 0.3889
0.7075 0.5195 0.6164
0.7075 0.9805 0.1164
0.8931 0.7463 0.3850
0.8931 0.7537 0.8850
0.2618 0.5101 0.8756
0.2618 0.9899 0.3756
0.7382 0.0101 0.6244
0.7382 0.4899 0.1244
0.4105 0.2466 0.6390
0.4105 0.2534 0.1390
0.5895 0.7466 0.8610
0.5895 0.7534 0.3610
0.0381 0.7505 0.1472
0.0381 0.7495 0.6472
0.9619 0.2505 0.3528
0.9619 0.2495 0.8528
0.0646 0.7467 0.0235
0.0646 0.7533 0.5235
0.1076 0.2341 0.3177
0.1076 0.2659 0.8177
0.1498 0.7324 0.7427
0.1498 0.7676 0.2427
0.3117 0.0570 0.5834
0.3117 0.4430 0.0834
0.3141 0.0640 0.0864
0.3141 0.4360 0.5864
0.4217 0.7482 0.9111
0.4217 0.7518 0.4111
0.4263 0.2385 0.7948
0.4263 0.2615 0.2948
0.5737 0.7385 0.7052
0.5737 0.7615 0.2052
0.5783 0.2482 0.5889
0.5783 0.2518 0.0889
0.6859 0.5640 0.4136
0.6859 0.9360 0.9136
0.6883 0.5570 0.9166
0.6883 0.9430 0.4166
0.8502 0.2324 0.7573
0.8502 0.2676 0.2573
0.8924 0.7341 0.1823
0.8924 0.7659 0.6823
0.9354 0.2467 0.4765
0.9354 0.2533 0.9765
```